# RbVO3
Theoretical X-ray diffraction stick pattern, Cu Kα X-rays. Input: DFT lattice parameters and positions (PBE+U).
No peak broadening, texture or thermal motion is included.

Atomic structure:
```
data_RbVO3
_chemical_formula_sum 'Rb1 V1 O3'
_symmetry_space_group_name_H-M 'P m -3 m'
_symmetry_Int_Tables_number 221
_symmetry_space_group_name_Hall '-P 4 2 3'
_cell_length_a 3.9152
_cell_length_b 3.9152
_cell_length_c 3.9152
_cell_angle_alpha 90.00
_cell_angle_beta 90.00
_cell_angle_gamma 90.00
loop_
_atom_site_label
_atom_site_type_symbol
_atom_site_fract_x
_atom_site_fract_y
_atom_site_fract_z
Rb1 Rb 0.0000 0.0000 0.0000
V1 V 0.5000 0.5000 0.5000
O1 O 0.0000 0.5000 0.5000
```

Peak list (9 most intense, 2θ from 10° to 80°, in order of rising 2θ)
index, d (Å), 2θ (°), I/Imax
1 0 0, 3.915, 22.71, 2.5
1 1 0, 2.768, 32.34, 100.0
1 1 1, 2.260, 39.88, 18.5
2 0 0, 1.958, 46.38, 40.6
2 1 0, 1.751, 52.25, 1.9
2 1 1, 1.598, 57.67, 37.1
2 2 0, 1.384, 67.69, 23.1
3 0 0, 1.305, 72.42, 1.3
3 1 0, 1.238, 77.02, 16.0